[1]
Simulated X-ray powder pattern
Compound: SrLiAg3
Radiation: Cu Kα (weighted mean of Kα1 and Kα2)
Structure: DFT lattice parameters and positions (PBE)
No peak broadening, texture or thermal motion is included.

Atomic structure:
Unit cell a=4.296 b=4.296 c=12.811 alpha=90.00 beta=90.00 gamma=90.00
Fractional positions:
Sr: 0.000 0.000 0.250
Sr: 0.000 0.000 0.750
Li: 0.000 0.500 0.000
Li: 0.500 0.000 0.500
Ag: 0.000 0.500 0.500
Ag: 0.500 0.000 0.000
Ag: 0.500 0.500 0.140
Ag: 0.500 0.500 0.360
Ag: 0.500 0.500 0.640
Ag: 0.500 0.500 0.860

Principal peaks in the range 10 to 90 degrees two-theta, by angle:
2θ 20.68, I 41
2θ 21.82, I 44
2θ 29.44, I 55
2θ 32.63, I 85
2θ 34.94, I 100
2θ 40.96, I 49
2θ 42.07, I 62
2θ 55.80, I 49

=====

[2]
Simulated X-ray powder pattern
Compound: RbBa
Radiation: Cu Kα (weighted mean of Kα1 and Kα2)
Structure: DFT lattice parameters and positions (PBE)
No peak broadening, texture or thermal motion is included.

Atomic structure:
Unit cell a=4.502 b=4.496 c=14.759 alpha=90.00 beta=90.05 gamma=90.00
Fractional positions:
Rb: 0.249 0.250 0.364
Rb: 0.751 0.750 0.636
Ba: 0.250 0.250 0.889
Ba: 0.750 0.750 0.111

Principal peaks in the range 10 to 90 degrees two-theta, by angle:
2θ 23.16, I 100
2θ 24.12, I 21
2θ 28.05, I 32
2θ 37.32, I 27
2θ 40.09, I 12
2θ 41.86, I 17
2θ 46.80, I 30
2θ 47.33, I 13

=====

[3]
Simulated X-ray powder pattern
Compound: Zr4CdOs
Radiation: Cu Kα (weighted mean of Kα1 and Kα2)
Structure: DFT lattice parameters and positions (PBE)
No peak broadening, texture or thermal motion is included.

Atomic structure:
Unit cell a=5.617 b=5.617 c=5.617 alpha=60.00 beta=60.00 gamma=60.00
Fractional positions:
Zr: 0.377 0.377 0.377
Zr: 0.377 0.377 0.869
Zr: 0.377 0.869 0.377
Zr: 0.869 0.377 0.377
Cd: 0.000 0.000 0.000
Os: 0.750 0.750 0.750

Principal peaks in the range 10 to 90 degrees two-theta, by angle:
2θ 31.86, I 44
2θ 37.55, I 100
2θ 39.29, I 26
2θ 56.78, I 17
2θ 60.57, I 32
2θ 66.59, I 25
2θ 79.05, I 11
2θ 80.14, I 9

=====

[4]
Simulated X-ray powder pattern
Compound: K3Pu3InTe8
Radiation: Cu Kα (weighted mean of Kα1 and Kα2)
Structure: DFT lattice parameters and positions (PBE)
No peak broadening, texture or thermal motion is included.

Atomic structure:
Unit cell a=9.776 b=9.776 c=9.776 alpha=54.74 beta=54.74 gamma=54.74
Fractional positions:
K: 0.000 0.500 0.500
K: 0.500 0.000 0.500
K: 0.500 0.500 0.000
Pu: 0.000 0.000 0.500
Pu: 0.000 0.500 0.000
Pu: 0.500 0.000 0.000
In: 0.500 0.500 0.500
Te: 0.235 0.734 0.734
Te: 0.236 0.236 0.236
Te: 0.266 0.266 0.765
Te: 0.266 0.765 0.266
Te: 0.734 0.235 0.734
Te: 0.734 0.734 0.235
Te: 0.764 0.764 0.764
Te: 0.765 0.266 0.266

Principal peaks in the range 10 to 90 degrees two-theta, by angle:
2θ 10.68, I 73
2θ 27.03, I 100
2θ 34.18, I 27
2θ 37.02, I 34
2θ 40.12, I 38
2θ 41.64, I 18
2θ 49.05, I 20
2θ 65.16, I 17

=====

[5]
Simulated X-ray powder pattern
Compound: NaNpPd6
Radiation: Cu Kα (weighted mean of Kα1 and Kα2)
Structure: DFT lattice parameters and positions (PBE)
No peak broadening, texture or thermal motion is included.

Atomic structure:
Unit cell a=4.142 b=4.142 c=7.961 alpha=90.00 beta=90.00 gamma=90.00
Fractional positions:
Na: 0.000 0.000 0.000
Np: 0.000 0.000 0.500
Pd: 0.000 0.500 0.254
Pd: 0.000 0.500 0.746
Pd: 0.500 0.000 0.254
Pd: 0.500 0.000 0.746
Pd: 0.500 0.500 0.000
Pd: 0.500 0.500 0.500

Principal peaks in the range 10 to 90 degrees two-theta, by angle:
2θ 11.11, I 26
2θ 24.22, I 17
2θ 38.15, I 100
2θ 43.71, I 34
2θ 45.58, I 15
2θ 64.99, I 21
2θ 76.58, I 25
2θ 79.27, I 13

=====

[6]
Simulated X-ray powder pattern
Compound: Mn2Al3
Radiation: Cu Kα (weighted mean of Kα1 and Kα2)
Structure: DFT lattice parameters and positions (PBE)
No peak broadening, texture or thermal motion is included.

Atomic structure:
Unit cell a=6.392 b=6.392 c=6.392 alpha=90.00 beta=90.00 gamma=90.00
Fractional positions:
Mn: 0.071 0.071 0.071
Mn: 0.179 0.821 0.321
Mn: 0.321 0.179 0.821
Mn: 0.429 0.929 0.571
Mn: 0.571 0.429 0.929
Mn: 0.679 0.679 0.679
Mn: 0.821 0.321 0.179
Mn: 0.929 0.571 0.429
Al: 0.046 0.875 0.704
Al: 0.125 0.204 0.454
Al: 0.204 0.454 0.125
Al: 0.296 0.546 0.625
Al: 0.375 0.796 0.954
Al: 0.454 0.125 0.204
Al: 0.546 0.625 0.296
Al: 0.625 0.296 0.546
Al: 0.704 0.046 0.875
Al: 0.796 0.954 0.375
Al: 0.875 0.704 0.046
Al: 0.954 0.375 0.796

Principal peaks in the range 10 to 90 degrees two-theta, by angle:
2θ 19.64, I 39
2θ 24.12, I 15
2θ 42.42, I 100
2θ 44.84, I 61
2θ 47.16, I 22
2θ 53.65, I 21
2θ 75.90, I 27
2θ 81.01, I 25

=====

[7]
Simulated X-ray powder pattern
Compound: Ti2Co13
Radiation: Cu Kα (weighted mean of Kα1 and Kα2)
Structure: DFT lattice parameters and positions (PBE)
No peak broadening, texture or thermal motion is included.

Atomic structure:
Unit cell a=6.958 b=6.958 c=6.958 alpha=55.34 beta=55.34 gamma=55.34
Fractional positions:
Ti: 0.239 0.239 0.239
Ti: 0.761 0.761 0.761
Co: 0.000 0.000 0.000
Co: 0.015 0.015 0.646
Co: 0.015 0.646 0.015
Co: 0.239 0.239 0.612
Co: 0.239 0.612 0.239
Co: 0.354 0.985 0.985
Co: 0.388 0.761 0.761
Co: 0.612 0.239 0.239
Co: 0.646 0.015 0.015
Co: 0.761 0.388 0.761
Co: 0.761 0.761 0.388
Co: 0.985 0.354 0.985
Co: 0.985 0.985 0.354

Principal peaks in the range 10 to 90 degrees two-theta, by angle:
2θ 15.08, I 47
2θ 16.62, I 83
2θ 32.39, I 48
2θ 43.07, I 45
2θ 44.19, I 55
2θ 47.69, I 100
2θ 50.31, I 44
2θ 51.39, I 57

=====

[8]
Simulated X-ray powder pattern
Compound: LaGaPdPb
Radiation: Cu Kα (weighted mean of Kα1 and Kα2)
Structure: DFT lattice parameters and positions (PBE)
No peak broadening, texture or thermal motion is included.

Atomic structure:
Unit cell a=7.212 b=7.212 c=7.212 alpha=90.00 beta=90.00 gamma=90.00
Fractional positions:
La: 0.000 0.000 0.000
La: 0.000 0.500 0.500
La: 0.500 0.000 0.500
La: 0.500 0.500 0.000
Ga: 0.250 0.250 0.750
Ga: 0.250 0.750 0.250
Ga: 0.750 0.250 0.250
Ga: 0.750 0.750 0.750
Pd: 0.250 0.250 0.250
Pd: 0.250 0.750 0.750
Pd: 0.750 0.250 0.750
Pd: 0.750 0.750 0.250
Pb: 0.000 0.000 0.500
Pb: 0.000 0.500 0.000
Pb: 0.500 0.000 0.000
Pb: 0.500 0.500 0.500

Principal peaks in the range 10 to 90 degrees two-theta, by angle:
2θ 21.34, I 5
2θ 24.69, I 11
2θ 35.20, I 100
2θ 50.63, I 18
2θ 57.12, I 5
2θ 63.16, I 37
2θ 74.42, I 11
2θ 85.08, I 16

=====

[9]
Simulated X-ray powder pattern
Compound: Ba2As4Pd3
Radiation: Cu Kα (weighted mean of Kα1 and Kα2)
Structure: DFT lattice parameters and positions (PBE)
No peak broadening, texture or thermal motion is included.

Atomic structure:
Unit cell a=8.846 b=7.785 c=6.026 alpha=78.53 beta=59.59 gamma=41.88
Fractional positions:
Ba: 0.150 0.150 0.850
Ba: 0.850 0.850 0.150
As: 0.208 0.537 0.463
As: 0.463 0.792 0.208
As: 0.537 0.208 0.792
As: 0.792 0.463 0.537
Pd: 0.000 0.000 0.500
Pd: 0.500 0.500 0.000
Pd: 0.500 0.500 0.500

Principal peaks in the range 10 to 90 degrees two-theta, by angle:
2θ 12.36, I 52
2θ 25.18, I 41
2θ 30.32, I 37
2θ 34.05, I 31
2θ 35.23, I 100
2θ 38.75, I 44
2θ 51.69, I 26
2θ 55.80, I 26

=====

[10]
Simulated X-ray powder pattern
Compound: La2Pr4Sm2Tm
Radiation: Cu Kα (weighted mean of Kα1 and Kα2)
Structure: DFT lattice parameters and positions (PBE)
No peak broadening, texture or thermal motion is included.

Atomic structure:
Unit cell a=9.786 b=9.786 c=9.862 alpha=114.98 beta=114.98 gamma=21.88
Fractional positions:
La: 0.165 0.165 0.499
La: 0.835 0.835 0.501
Pr: 0.018 0.018 0.831
Pr: 0.315 0.315 0.167
Pr: 0.685 0.685 0.833
Pr: 0.982 0.982 0.169
Sm: 0.352 0.352 0.832
Sm: 0.648 0.648 0.168
Tm: 0.500 0.500 0.500

Principal peaks in the range 10 to 90 degrees two-theta, by angle:
2θ 28.00, I 36
2θ 30.11, I 49
2θ 30.91, I 100
2θ 32.50, I 57
2θ 32.65, I 28
2θ 49.23, I 25
2θ 52.91, I 23
2θ 58.64, I 15

=====

[11]
Simulated X-ray powder pattern
Compound: PrNiRu
Radiation: Cu Kα (weighted mean of Kα1 and Kα2)
Structure: DFT lattice parameters and positions (PBE)
No peak broadening, texture or thermal motion is included.

Atomic structure:
Unit cell a=5.163 b=5.346 c=7.760 alpha=90.00 beta=90.00 gamma=90.00
Fractional positions:
Pr: 0.000 0.250 0.121
Pr: 0.000 0.750 0.879
Pr: 0.500 0.250 0.379
Pr: 0.500 0.750 0.621
Ni: 0.000 0.000 0.500
Ni: 0.000 0.500 0.500
Ni: 0.500 0.000 0.000
Ni: 0.500 0.500 0.000
Ru: 0.250 0.250 0.750
Ru: 0.250 0.750 0.250
Ru: 0.750 0.250 0.750
Ru: 0.750 0.750 0.250

Principal peaks in the range 10 to 90 degrees two-theta, by angle:
2θ 33.40, I 85
2θ 33.52, I 34
2θ 38.67, I 62
2θ 38.94, I 35
2θ 39.71, I 74
2θ 40.51, I 100
2θ 42.04, I 34
2θ 70.15, I 45

=====

[12]
Simulated X-ray powder pattern
Compound: TlNi2Hg
Radiation: Cu Kα (weighted mean of Kα1 and Kα2)
Structure: DFT lattice parameters and positions (PBE)
No peak broadening, texture or thermal motion is included.

Atomic structure:
Unit cell a=7.090 b=7.090 c=5.809 alpha=90.00 beta=90.00 gamma=90.00
Fractional positions:
Tl: 0.000 0.000 0.000
Tl: 0.000 0.500 0.250
Tl: 0.500 0.000 0.750
Tl: 0.500 0.500 0.500
Ni: 0.249 0.250 0.625
Ni: 0.250 0.749 0.875
Ni: 0.250 0.751 0.375
Ni: 0.251 0.250 0.125
Ni: 0.749 0.750 0.125
Ni: 0.750 0.249 0.375
Ni: 0.750 0.251 0.875
Ni: 0.751 0.750 0.625
Hg: 0.000 0.000 0.500
Hg: 0.000 0.500 0.750
Hg: 0.500 0.000 0.250
Hg: 0.500 0.500 0.000

Principal peaks in the range 10 to 90 degrees two-theta, by angle:
2θ 25.12, I 27
2θ 35.77, I 100
2θ 51.51, I 55
2θ 58.19, I 6
2θ 64.31, I 10
2θ 70.01, I 12
2θ 75.88, I 18
2θ 86.87, I 17

=====

[13]
Simulated X-ray powder pattern
Compound: KGe3Pt5
Radiation: Cu Kα (weighted mean of Kα1 and Kα2)
Structure: DFT lattice parameters and positions (PBE)
No peak broadening, texture or thermal motion is included.

Atomic structure:
Unit cell a=6.883 b=6.883 c=12.943 alpha=90.00 beta=90.00 gamma=145.87
Fractional positions:
K: 0.162 0.838 0.750
K: 0.838 0.162 0.250
Ge: 0.109 0.891 0.250
Ge: 0.383 0.617 0.046
Ge: 0.383 0.617 0.454
Ge: 0.617 0.383 0.546
Ge: 0.617 0.383 0.954
Ge: 0.891 0.109 0.750
Pt: 0.000 0.000 0.000
Pt: 0.000 0.000 0.500
Pt: 0.201 0.799 0.068
Pt: 0.201 0.799 0.432
Pt: 0.443 0.557 0.642
Pt: 0.443 0.557 0.858
Pt: 0.557 0.443 0.142
Pt: 0.557 0.443 0.358
Pt: 0.799 0.201 0.568
Pt: 0.799 0.201 0.932

Principal peaks in the range 10 to 90 degrees two-theta, by angle:
2θ 13.68, I 100
2θ 15.11, I 90
2θ 31.08, I 52
2θ 36.22, I 81
2θ 40.93, I 53
2θ 42.02, I 57
2θ 43.35, I 60
2θ 44.88, I 58